(1)
Computed powder X-ray diffraction pattern
Compound: Li2UZnN4
Radiation: Cu Kα
Structure: a DFT-relaxed cell (GGA-PBE, Alexandria)

Atomic structure:
a b c (Å): 6.0219 6.0219 6.5468
angles (deg): 116.79 116.79 86.94
Sites, in units of the cell vectors:
Li 0.0000 0.0000 0.0000
Li 0.0000 0.0000 0.5000
Li 0.0000 0.5000 0.0000
Li 0.5000 0.0000 0.5000
U 0.0000 0.5000 0.5000
U 0.5000 0.0000 0.0000
Zn 0.5000 0.5000 0.0000
Zn 0.5000 0.5000 0.5000
N 0.2449 0.7358 0.9615
N 0.2467 0.2646 0.4907
N 0.2642 0.7551 0.5385
N 0.2646 0.2467 0.9907
N 0.7354 0.7533 0.0093
N 0.7358 0.2449 0.4615
N 0.7533 0.7354 0.5093
N 0.7551 0.2642 0.0385

Top 6 peaks for 5 to 70 degrees two-theta, by angle:
2theta, Rel. int.
17.41, 100
29.51, 25
33.32, 20
33.96, 25
34.97, 24
35.23, 23

(2)
Computed powder X-ray diffraction pattern
Compound: Sr4AsN
Radiation: Cu Kα
Structure: a DFT-relaxed cell (GGA-PBE, Alexandria)

Atomic structure:
a b c (Å): 4.8931 4.8931 7.1427
angles (deg): 90.00 90.00 90.00
Sites, in units of the cell vectors:
Sr 0.0000 0.5000 0.2208
Sr 0.0000 0.5000 0.7792
Sr 0.5000 0.0000 0.2208
Sr 0.5000 0.0000 0.7792
As 0.0000 0.0000 0.5000
N 0.5000 0.5000 0.0000

Top 6 peaks for 5 to 70 degrees two-theta, by angle:
2theta, Rel. int.
24.93, 21
25.75, 47
36.15, 100
36.73, 53
52.93, 18
65.77, 34

(3)
Computed powder X-ray diffraction pattern
Compound: TbDy3Ho6
Radiation: Cu Kα
Structure: a DFT-relaxed cell (GGA-PBE, Alexandria)

Atomic structure:
a b c (Å): 11.4555 11.4555 6.3247
angles (deg): 90.00 90.00 130.81
Sites, in units of the cell vectors:
Tb 0.1613 0.8387 0.5000
Tb 0.8387 0.1613 0.0000
Dy 0.0415 0.2965 0.4742
Dy 0.2965 0.0415 0.9742
Dy 0.4200 0.5800 0.5803
Dy 0.5800 0.4200 0.0803
Dy 0.7035 0.9585 0.4742
Dy 0.9585 0.7035 0.9742
Ho 0.0147 0.9853 0.3039
Ho 0.1051 0.5428 0.8155
Ho 0.2579 0.3789 0.0553
Ho 0.3015 0.6985 0.2757
Ho 0.3789 0.2579 0.5553
Ho 0.4572 0.8949 0.8155
Ho 0.5428 0.1051 0.3155
Ho 0.6211 0.7421 0.0553
Ho 0.6985 0.3015 0.7757
Ho 0.7421 0.6211 0.5553
Ho 0.8949 0.4572 0.3155
Ho 0.9853 0.0147 0.8039

Top 6 peaks for 5 to 70 degrees two-theta, by angle:
2theta, Rel. int.
29.05, 62
31.49, 57
31.81, 100
32.50, 55
33.14, 37
34.10, 56

(4)
Computed powder X-ray diffraction pattern
Compound: Ag4PbO5
Radiation: Cu Kα
Structure: a DFT-relaxed cell (GGA-PBE, Alexandria)

Atomic structure:
a b c (Å): 13.6638 13.6638 13.6638
angles (deg): 14.49 14.49 14.49
Sites, in units of the cell vectors:
Ag 0.0942 0.0942 0.0942
Ag 0.3020 0.3020 0.3020
Ag 0.6980 0.6980 0.6980
Ag 0.9058 0.9058 0.9058
Pb 0.5000 0.5000 0.5000
O 0.0000 0.0000 0.0000
O 0.1997 0.1997 0.1997
O 0.3943 0.3943 0.3943
O 0.6057 0.6057 0.6057
O 0.8003 0.8003 0.8003

Top 6 peaks for 5 to 70 degrees two-theta, by angle:
2theta, Rel. int.
31.95, 95
33.13, 26
37.41, 100
53.15, 36
54.73, 27
64.08, 24

(5)
Computed powder X-ray diffraction pattern
Compound: Pm2Er2Sc15
Radiation: Cu Kα
Structure: a DFT-relaxed cell (GGA-PBE, Alexandria)

Atomic structure:
a b c (Å): 8.1453 8.1453 8.1453
angles (deg): 81.55 81.55 81.55
Sites, in units of the cell vectors:
Pm 0.1617 0.1617 0.1617
Pm 0.8383 0.8383 0.8383
Er 0.3910 0.3910 0.3910
Er 0.6090 0.6090 0.6090
Sc 0.0000 0.5000 0.5000
Sc 0.1373 0.1373 0.6533
Sc 0.1373 0.6533 0.1373
Sc 0.1987 0.5000 0.8013
Sc 0.1987 0.8013 0.5000
Sc 0.3467 0.8627 0.8627
Sc 0.5000 0.0000 0.5000
Sc 0.5000 0.1987 0.8013
Sc 0.5000 0.5000 0.0000
Sc 0.5000 0.8013 0.1987
Sc 0.6533 0.1373 0.1373
Sc 0.8013 0.1987 0.5000
Sc 0.8013 0.5000 0.1987
Sc 0.8627 0.3467 0.8627
Sc 0.8627 0.8627 0.3467

Top 6 peaks for 5 to 70 degrees two-theta, by angle:
2theta, Rel. int.
16.67, 50
24.20, 29
29.07, 59
29.51, 56
33.68, 100
34.07, 67

(6)
Computed powder X-ray diffraction pattern
Compound: TmTiAs
Radiation: Cu Kα
Structure: a DFT-relaxed cell (GGA-PBE, Alexandria)

Atomic structure:
a b c (Å): 3.9492 3.9492 7.5425
angles (deg): 90.00 90.00 90.00
Sites, in units of the cell vectors:
Tm 0.2500 0.2500 0.1477
Tm 0.7500 0.7500 0.8523
Ti 0.2500 0.7500 0.5000
Ti 0.7500 0.2500 0.5000
As 0.2500 0.2500 0.7488
As 0.7500 0.7500 0.2512

Top 6 peaks for 5 to 70 degrees two-theta, by angle:
2theta, Rel. int.
32.05, 79
32.84, 100
34.24, 74
40.18, 64
45.96, 63
57.63, 41

(7)
Computed powder X-ray diffraction pattern
Compound: ThMnNi5
Radiation: Cu Kα
Structure: a DFT-relaxed cell (GGA-PBE, Alexandria)

Atomic structure:
a b c (Å): 7.9878 4.8940 10.0938
angles (deg): 90.00 90.00 90.00
Sites, in units of the cell vectors:
Th 0.2482 0.2500 0.0581
Th 0.2518 0.7500 0.5581
Th 0.7482 0.2500 0.4419
Th 0.7518 0.7500 0.9419
Mn 0.1431 0.7500 0.8547
Mn 0.3569 0.2500 0.3547
Mn 0.6431 0.7500 0.6453
Mn 0.8569 0.2500 0.1453
Ni 0.0524 0.7500 0.0956
Ni 0.0657 0.0049 0.3070
Ni 0.0657 0.4951 0.3070
Ni 0.1003 0.2500 0.5175
Ni 0.1866 0.2500 0.7519
Ni 0.3134 0.7500 0.2519
Ni 0.3997 0.7500 0.0175
Ni 0.4343 0.5049 0.8070
Ni 0.4343 0.9951 0.8070
Ni 0.4476 0.2500 0.5956
Ni 0.5524 0.7500 0.4044
Ni 0.5657 0.0049 0.1930
Ni 0.5657 0.4951 0.1930
Ni 0.6003 0.2500 0.9825
Ni 0.6866 0.2500 0.7481
Ni 0.8134 0.7500 0.2481
Ni 0.8997 0.7500 0.4825
Ni 0.9343 0.5049 0.6930
Ni 0.9343 0.9951 0.6930
Ni 0.9476 0.2500 0.9044

Top 6 peaks for 5 to 70 degrees two-theta, by angle:
2theta, Rel. int.
23.06, 29
37.37, 30
39.56, 100
43.36, 18
46.39, 25
68.04, 19

(8)
Computed powder X-ray diffraction pattern
Compound: Zr4Sc3Al
Radiation: Cu Kα
Structure: a DFT-relaxed cell (GGA-PBE, Alexandria)

Atomic structure:
a b c (Å): 11.2176 11.2176 11.2176
angles (deg): 162.79 154.13 31.24
Sites, in units of the cell vectors:
Zr 0.1067 0.1067 0.0000
Zr 0.2331 0.7331 0.5000
Zr 0.7669 0.2669 0.5000
Zr 0.8933 0.8933 0.0000
Sc 0.3619 0.3619 0.0000
Sc 0.5000 0.0000 0.5000
Sc 0.6381 0.6381 0.0000
Al 0.0000 0.5000 0.5000

Top 6 peaks for 5 to 70 degrees two-theta, by angle:
2theta, Rel. int.
8.18, 21
33.16, 29
34.09, 13
35.76, 30
36.23, 100
64.56, 17

> Number 4 is which compound?

Ag4PbO5